Starting from DFT lattice parameters and positions (GGA+U), the powder XRD pattern of Li4Mn5Cr2O12 was computed for λ = 1.5418 Å (Cu Kα).
No peak broadening, texture or thermal motion is included.

Peak list (8 most intense, 2θ = 15–90°, most intense first)
hkl, 2theta, I/Imax
1 3 -3, 41.97, 100
0 0 2, 17.78, 54
2 0 2, 43.00, 47
1 1 1, 23.29, 32
3 3 -1, 62.13, 26
1 3 5, 61.16, 25
0 2 0, 19.48, 22
1 3 1, 36.48, 21

```
data_Li4Mn5Cr2O12
_cell_length_a 5.1476
_cell_length_b 9.1150
_cell_length_c 10.1520
_cell_angle_alpha 90.00
_cell_angle_beta 100.72
_cell_angle_gamma 90.00
_symmetry_space_group_name_H-M 'P 1 21 1'
_symmetry_Int_Tables_number 4
loop_
_symmetry_equiv_pos_as_xyz
'x,y,z'
'-x,y+1/2,-z'
loop_
_atom_site_label
_atom_site_type_symbol
_atom_site_fract_x
_atom_site_fract_y
_atom_site_fract_z
Li1 Li 0.0009 0.0000 0.2351
Li2 Li 0.0083 0.8386 0.7669
Li3 Li 0.2601 0.9979 0.9964
Li4 Li 0.4904 0.8251 0.2391
Mn1 Mn 0.0105 0.1497 0.7597
Mn2 Mn 0.2486 0.3398 0.0018
Mn3 Mn 0.2495 0.8285 0.4980
Mn4 Mn 0.2511 0.4935 0.5050
Mn5 Mn 0.4970 0.1662 0.2397
Cr1 Cr 0.2514 0.6666 0.0045
Cr2 Cr 0.2524 0.1606 0.5015
O1 O 0.1050 0.8246 0.1150
O2 O 0.1080 0.3101 0.6143
O3 O 0.1079 0.9894 0.6026
O4 O 0.1146 0.6470 0.6175
O5 O 0.1172 0.1848 0.1145
O6 O 0.1190 0.4993 0.1094
O7 O 0.3590 0.5006 0.8899
O8 O 0.3748 0.6795 0.3881
O9 O 0.3763 0.1883 0.8894
O10 O 0.3778 0.3273 0.3989
O11 O 0.3928 0.8200 0.8917
O12 O 0.3952 0.0100 0.3834
```